Ba2Ca2Mn3Tl2O10: theoretical XRD peak list (Cu Kα), based on the GGA+U geometry in Alexandria.

Structure:
a = 3.981 Å, b = 4.028 Å, c = 18.549 Å
α = 96.03°, β = 96.15°, γ = 90.00°
Fractional positions:
1 Ba 0.000 0.000 0.000
2 Ba 0.290 0.285 0.584
3 Ca 0.097 0.097 0.196
4 Ca 0.189 0.186 0.383
5 Mn 0.550 0.551 0.100
6 Mn 0.643 0.641 0.289
7 Mn 0.735 0.731 0.475
8 Tl 0.429 0.375 0.858
9 Tl 0.865 0.848 0.730
10 O 0.059 0.557 0.118
11 O 0.142 0.640 0.286
12 O 0.226 0.721 0.456
13 O 0.374 0.490 0.747
14 O 0.490 0.509 0.980
15 O 0.557 0.058 0.116
16 O 0.642 0.140 0.286
17 O 0.726 0.222 0.458
18 O 0.790 0.783 0.585
19 O 0.931 0.089 0.861

Peak list (6 most intense, 10 to 90 degrees two-theta, sorted by position)
3.194 Å, 2θ 27.9, I = 60, hkl 0 1 3; 3.170 Å, 2θ 28.2, I = 56, hkl 1 0 3; 2.870 Å, 2θ 31.2, I = 30, hkl 0 1 4; 2.848 Å, 2θ 31.4, I = 54, hkl 1 0 -5; 2.831 Å, 2θ 31.6, I = 100, hkl 1 1 -1; 2.798 Å, 2θ 32.0, I = 33, hkl -1 1 1